No. 1
# Na2SrV2O7
Simulated powder diffractogram, Cu Kα. Input: a crystal structure in Alexandria, relaxed with GGA+U.
Lines closer than 0.1° are merged.

Top 10 peaks for 2θ from 10° to 80°, sorted by position:
11.31 deg, 7.827 Å, I 58.6
19.12 deg, 4.642 Å, I 100.0
23.22 deg, 3.830 Å, I 34.0
25.90 deg, 3.440 Å, I 83.0
30.64 deg, 2.918 Å, I 94.9
32.02 deg, 2.795 Å, I 47.2
38.80 deg, 2.321 Å, I 22.8
46.70 deg, 1.945 Å, I 25.0
54.47 deg, 1.685 Å, I 31.5
56.64 deg, 1.625 Å, I 32.6

Structure:
```
Na2SrV2O7
1.0
2.918 1.685 7.827
-2.918 1.685 7.827
0.000 -3.369 7.827
Na Sr V O
2 1 2 7
direct
0.250 0.250 0.250
0.750 0.750 0.750
0.000 0.000 0.000
0.423 0.423 0.423
0.577 0.577 0.577
0.134 0.372 0.690
0.310 0.628 0.866
0.372 0.690 0.134
0.500 0.500 0.500
0.628 0.866 0.310
0.690 0.134 0.372
0.866 0.310 0.628
```


No. 2
# Na2SrV3O9
Simulated powder diffractogram, Cu Kα. Input: a crystal structure in Alexandria, relaxed with GGA+U.
Lines closer than 0.1° are merged.

Top 10 peaks for 2θ from 10° to 80°, sorted by position:
10.48 deg, 8.442 Å, I 92.9
17.27 deg, 5.136 Å, I 16.8
22.80 deg, 3.901 Å, I 23.1
28.40 deg, 3.142 Å, I 100.0
29.38 deg, 3.040 Å, I 17.7
31.19 deg, 2.868 Å, I 62.1
31.35 deg, 2.853 Å, I 22.3
32.81 deg, 2.729 Å, I 45.4
35.56 deg, 2.525 Å, I 15.8
44.62 deg, 2.031 Å, I 15.8

Structure:
```
Na2SrV3O9
1.0
5.514 0.000 0.000
0.000 15.163 0.000
-1.448 0.000 10.163
Na Sr V O
8 4 12 36
direct
0.234 0.207 0.031
0.234 0.293 0.531
0.249 0.565 0.478
0.249 0.935 0.978
0.751 0.065 0.022
0.751 0.435 0.522
0.766 0.707 0.469
0.766 0.793 0.969
0.262 0.614 0.032
0.262 0.886 0.532
0.738 0.114 0.468
0.738 0.386 0.968
0.208 0.047 0.295
0.208 0.453 0.795
0.212 0.738 0.756
0.212 0.762 0.256
0.294 0.100 0.716
0.294 0.400 0.216
0.706 0.600 0.784
0.706 0.900 0.284
0.788 0.238 0.744
0.788 0.262 0.244
0.792 0.547 0.205
0.792 0.953 0.705
0.033 0.015 0.646
0.033 0.485 0.146
0.036 0.191 0.671
0.036 0.309 0.171
0.172 0.060 0.129
0.172 0.440 0.629
0.186 0.718 0.591
0.186 0.782 0.091
0.247 0.652 0.278
0.247 0.848 0.778
0.252 0.142 0.387
0.252 0.358 0.887
0.349 0.090 0.879
0.349 0.410 0.379
0.480 0.515 0.851
0.480 0.985 0.351
0.482 0.688 0.842
0.482 0.812 0.342
0.518 0.188 0.658
0.518 0.312 0.158
0.520 0.015 0.649
0.520 0.485 0.149
0.651 0.590 0.621
0.651 0.910 0.121
0.748 0.642 0.113
0.748 0.858 0.613
0.753 0.152 0.222
0.753 0.348 0.722
0.814 0.218 0.909
0.814 0.282 0.409
0.828 0.560 0.371
0.828 0.940 0.871
0.964 0.691 0.829
0.964 0.809 0.329
0.967 0.515 0.854
0.967 0.985 0.354
```


What did the first record say?
# Na2SrV2O7
Simulated powder diffractogram, Cu Kα. Input: a crystal structure in Alexandria, relaxed with GGA+U.
Lines closer than 0.1° are merged.

Top 10 peaks for 2θ from 10° to 80°, sorted by position:
11.31 deg, 7.827 Å, I 58.6
19.12 deg, 4.642 Å, I 100.0
23.22 deg, 3.830 Å, I 34.0
25.90 deg, 3.440 Å, I 83.0
30.64 deg, 2.918 Å, I 94.9
32.02 deg, 2.795 Å, I 47.2
38.80 deg, 2.321 Å, I 22.8
46.70 deg, 1.945 Å, I 25.0
54.47 deg, 1.685 Å, I 31.5
56.64 deg, 1.625 Å, I 32.6

Structure:
```
Na2SrV2O7
1.0
2.918 1.685 7.827
-2.918 1.685 7.827
0.000 -3.369 7.827
Na Sr V O
2 1 2 7
direct
0.250 0.250 0.250
0.750 0.750 0.750
0.000 0.000 0.000
0.423 0.423 0.423
0.577 0.577 0.577
0.134 0.372 0.690
0.310 0.628 0.866
0.372 0.690 0.134
0.500 0.500 0.500
0.628 0.866 0.310
0.690 0.134 0.372
0.866 0.310 0.628
```


What did the first record say?
# Na2SrV2O7
Simulated powder diffractogram, Cu Kα. Input: a crystal structure in Alexandria, relaxed with GGA+U.
Lines closer than 0.1° are merged.

Top 10 peaks for 2θ from 10° to 80°, sorted by position:
11.31 deg, 7.827 Å, I 58.6
19.12 deg, 4.642 Å, I 100.0
23.22 deg, 3.830 Å, I 34.0
25.90 deg, 3.440 Å, I 83.0
30.64 deg, 2.918 Å, I 94.9
32.02 deg, 2.795 Å, I 47.2
38.80 deg, 2.321 Å, I 22.8
46.70 deg, 1.945 Å, I 25.0
54.47 deg, 1.685 Å, I 31.5
56.64 deg, 1.625 Å, I 32.6

Structure:
```
Na2SrV2O7
1.0
2.918 1.685 7.827
-2.918 1.685 7.827
0.000 -3.369 7.827
Na Sr V O
2 1 2 7
direct
0.250 0.250 0.250
0.750 0.750 0.750
0.000 0.000 0.000
0.423 0.423 0.423
0.577 0.577 0.577
0.134 0.372 0.690
0.310 0.628 0.866
0.372 0.690 0.134
0.500 0.500 0.500
0.628 0.866 0.310
0.690 0.134 0.372
0.866 0.310 0.628
```